No. 1
For CuNiF3, a GGA+U-relaxed structure gives the theoretical powder XRD pattern in this record (CuKα).
Neutral-atom scattering factors, no anomalous dispersion.

Peak list (10 most intense, 15° ≤ 2θ ≤ 90°, low angle first)
(hkl)  2θ/deg  I_rel
1 0 0  18.87  100
1 1 0  32.99  48
1 1 1  37.17  12
1 0 2  38.86  18
1 1 2  47.84  70
2 1 0  51.41  10
2 0 2  51.87  16
3 0 0  58.92  20
2 1 2  62.86  11
2 2 2  79.20  12

Crystal structure
abc: 5.4301 5.4301 5.3268
angles: 90.00 90.00 120.00
Fractional positions:
Cu 0.0000 0.0000 0.0000
Cu 0.0000 0.0000 0.5000
Ni 0.6667 0.3333 0.0000
Ni 0.6667 0.3333 0.5000
F 0.3696 0.0633 0.2500
F 0.3696 0.3063 0.7500
F 0.6937 0.0633 0.7500
F 0.6937 0.6304 0.2500
F 0.9367 0.3063 0.2500
F 0.9367 0.6304 0.7500


No. 2
For CuNiPdF6, a GGA+U-relaxed structure gives the theoretical powder XRD pattern in this record (CuKα).
Neutral-atom scattering factors, no anomalous dispersion.

Peak list (10 most intense, 15° ≤ 2θ ≤ 90°, low angle first)
(hkl)  2θ/deg  I_rel
1 1 0  26.19  100
1 0 3  32.81  74
2 0 0  37.37  13
1 1 3  37.90  13
2 1 3  50.57  70
2 2 0  53.88  20
0 0 6  55.46  11
3 1 0  60.87  13
1 1 6  62.33  16
3 0 3  64.54  23

Crystal structure
abc: 4.8129 4.8129 9.9412
angles: 90.00 90.00 90.00
Fractional positions:
Cu 0.0000 0.0000 0.0000
Cu 0.5000 0.5000 0.5000
Ni 0.0000 0.0000 0.6669
Ni 0.5000 0.5000 0.1669
Pd 0.0000 0.0000 0.3358
Pd 0.5000 0.5000 0.8358
F 0.1928 0.1928 0.8359
F 0.2068 0.2068 0.1636
F 0.2089 0.2089 0.5070
F 0.2911 0.7089 0.0070
F 0.2932 0.7068 0.6636
F 0.3072 0.6928 0.3359
F 0.6928 0.3072 0.3359
F 0.7068 0.2932 0.6636
F 0.7089 0.2911 0.0070
F 0.7911 0.7911 0.5070
F 0.7932 0.7932 0.1636
F 0.8072 0.8072 0.8359


No. 3
For CuNiRhF6, a GGA+U-relaxed structure gives the theoretical powder XRD pattern in this record (CuKα).
Neutral-atom scattering factors, no anomalous dispersion.

Peak list (10 most intense, 15° ≤ 2θ ≤ 90°, low angle first)
(hkl)  2θ/deg  I_rel
1 1 0  26.25  100
1 0 3  33.57  65
2 0 0  37.46  13
1 1 3  38.59  12
2 1 3  51.18  67
2 2 0  54.02  19
3 1 0  61.03  12
1 1 6  64.16  14
3 0 3  65.12  24
4 1 3  89.53  10

Crystal structure
abc: 4.8010 4.8010 9.6347
angles: 90.00 90.00 90.00
Fractional positions:
Cu 0.0000 0.0000 0.0000
Cu 0.5000 0.5000 0.5000
Ni 0.0000 0.0000 0.6695
Ni 0.5000 0.5000 0.1695
Rh 0.0000 0.0000 0.3349
Rh 0.5000 0.5000 0.8349
F 0.1908 0.1908 0.5011
F 0.1967 0.1967 0.8314
F 0.2001 0.2001 0.1725
F 0.2999 0.7001 0.6725
F 0.3033 0.6967 0.3314
F 0.3092 0.6908 0.0011
F 0.6908 0.3092 0.0011
F 0.6967 0.3033 0.3314
F 0.7001 0.2999 0.6725
F 0.7999 0.7999 0.1725
F 0.8033 0.8033 0.8314
F 0.8092 0.8092 0.5011